# 1
Starting from a crystal structure in Alexandria, relaxed with PBE, the X-ray diffraction stick pattern of K3PrO3 was simulated for a wavelength of 1.5418 Å.
Kinematic intensities with the Lorentz-polarization factor, no thermal factor.

Main lines, low angle first (5° ≤ 2θ ≤ 70°):
two_theta, intensity
13.88, 100
27.97, 68
29.42, 57
31.56, 39
34.08, 94
47.12, 59

Structure:
Lattice parameters (Å, degrees): 7.743 7.743 7.743 124.67 120.21 85.87
Fractional coordinates of all 14 atoms:
K  0.000  0.245  0.245
K  0.000  0.755  0.755
K  0.471  0.221  0.250
K  0.500  0.245  0.745
K  0.500  0.755  0.255
K  0.529  0.779  0.750
Pr  0.035  0.785  0.250
Pr  0.965  0.215  0.750
O  0.206  0.000  0.706
O  0.206  0.500  0.206
O  0.232  0.982  0.250
O  0.768  0.018  0.750
O  0.794  0.000  0.294
O  0.794  0.500  0.794

---

# 2
Starting from a crystal structure in Alexandria, relaxed with PBE, the X-ray diffraction stick pattern of KPrPtO3 was simulated for a wavelength of 1.5418 Å.
Kinematic intensities with the Lorentz-polarization factor, no thermal factor.

Main lines, low angle first (5° ≤ 2θ ≤ 70°):
two_theta, intensity
11.88, 60
13.67, 49
30.50, 75
30.72, 46
31.37, 42
32.24, 100

Structure:
Lattice parameters (Å, degrees): 7.013 7.013 7.735 104.89 104.89 33.06
Fractional coordinates of all 12 atoms:
K  0.142  0.142  0.064
K  0.858  0.858  0.936
Pr  0.150  0.150  0.581
Pr  0.850  0.850  0.419
Pt  0.493  0.493  0.725
Pt  0.507  0.507  0.275
O  0.007  0.007  0.314
O  0.332  0.332  0.634
O  0.347  0.347  0.220
O  0.653  0.653  0.780
O  0.668  0.668  0.366
O  0.993  0.993  0.686

---

# 3
Starting from a crystal structure in Alexandria, relaxed with PBE, the X-ray diffraction stick pattern of KPrPtO4 was simulated for a wavelength of 1.5418 Å.
Kinematic intensities with the Lorentz-polarization factor, no thermal factor.

Main lines, low angle first (5° ≤ 2θ ≤ 70°):
two_theta, intensity
15.06, 100
16.36, 36
30.39, 47
31.09, 48
36.29, 42
53.48, 38

Structure:
Lattice parameters (Å, degrees): 6.889 6.889 6.889 122.80 114.10 92.86
Fractional coordinates of all 14 atoms:
K  0.386  0.136  0.250
K  0.614  0.864  0.750
Pr  0.000  0.500  0.500
Pr  0.500  0.500  0.000
Pt  0.000  0.000  0.500
Pt  0.000  0.500  0.000
O  0.171  0.247  0.923
O  0.176  0.753  0.423
O  0.219  0.249  0.530
O  0.219  0.689  0.970
O  0.781  0.311  0.030
O  0.781  0.751  0.470
O  0.824  0.247  0.577
O  0.829  0.753  0.077